# Co5Hg
Computed PXRD pattern, Cu Kα (weighted mean of Kα1 and Kα2). Input: a cell relaxed with GGA-PBE.

Structure:
abc: 4.902 4.902 6.229
angles: 107.03 107.03 32.24
Positions (direct):
Co 0.000 0.000 0.000
Co 0.020 0.020 0.606
Co 0.317 0.317 0.683
Co 0.636 0.636 0.379
Co 0.682 0.682 0.882
Hg 0.341 0.341 0.243

Most intense lines, 2θ = 10–90°, low angle first:
d [Å], 2θ (°), Rel. int.
5.933, 14.93, 32
4.485, 19.80, 22
4.256, 20.87, 30
3.146, 28.37, 19
2.605, 34.43, 20
2.467, 36.42, 25
2.311, 38.98, 22
2.186, 41.29, 52
2.128, 42.48, 56
2.049, 44.20, 100
2.013, 45.04, 99
1.197, 80.15, 15